[1]
Calculated powder diffractogram
Compound: TbCeZnAu
Radiation: λ = 1.5418 Å (Cu Kα)
Structure: a crystal structure in Alexandria, relaxed with GGA-PBE
Neutral-atom scattering factors, no anomalous dispersion.

The 10 most intense peaks (2θ = 10–90°), in order of rising 2θ:
Position (°2θ)	intensity
21.12	11.4
34.82	100.0
41.08	6.6
50.07	17.9
54.92	2.9
62.43	36.8
66.69	2.3
73.52	11.4
77.49	2.3
83.99	16.3

Crystal structure
Cell: 5.1528 5.1528 5.1528 Å, 60.00 60.00 60.00°
Fractional positions:
Tb 0.0000 0.0000 0.0000
Ce 0.5000 0.5000 0.5000
Zn 0.2500 0.2500 0.2500
Au 0.7500 0.7500 0.7500

---

[2]
Calculated powder diffractogram
Compound: Co5Mo3
Radiation: λ = 1.5418 Å (Cu Kα)
Structure: a crystal structure in Alexandria, relaxed with GGA-PBE
Neutral-atom scattering factors, no anomalous dispersion.

The 10 most intense peaks (2θ = 10–90°), in order of rising 2θ:
Position (°2θ)	intensity
42.66	100.0
49.21	15.6
49.64	15.8
50.16	15.4
72.49	9.2
72.91	9.1
73.25	9.3
87.59	10.7
88.25	11.5
89.05	11.3

Crystal structure
Cell: 5.2159 5.2159 3.6374 Å, 90.00 90.00 90.47°
Fractional positions:
Co 0.0000 0.0000 0.0000
Co 0.0000 0.5000 0.0000
Co 0.2460 0.2460 0.5000
Co 0.5000 0.0000 0.0000
Co 0.7540 0.7540 0.5000
Mo 0.2354 0.7646 0.5000
Mo 0.5000 0.5000 0.0000
Mo 0.7646 0.2354 0.5000